Calculated powder diffractogram of Y5MgMo2O12 for a wavelength of 1.5418 Å, from a cell relaxed with GGA+U.

Most intense lines, 10° ≤ 2θ ≤ 90°, low angle first:
| two_theta | I/Imax | h k l |
| --- | --- | --- |
| 25.0 | 32.9 | 0 0 2 |
| 27.1 | 90.0 | 3 1 0 |
| 28.2 | 100.0 | 1 1 -2 |
| 30.2 | 34.9 | 4 0 0 |
| 32.6 | 23.0 | 0 2 1 |
| 32.9 | 28.3 | 2 0 2 |
| 33.1 | 27.1 | 4 0 -2 |
| 34.4 | 22.3 | 2 2 -1 |
| 39.4 | 34.9 | 2 2 -2 |
| 48.7 | 38.2 | 2 0 -4 |

Crystal structure
```
data_Y5MgMo2O12
_cell_length_a 12.3915
_cell_length_b 5.9595
_cell_length_c 7.4751
_cell_angle_alpha 90.00
_cell_angle_beta 107.21
_cell_angle_gamma 90.00
_symmetry_space_group_name_H-M 'C 1 2/m 1'
_symmetry_Int_Tables_number 12
loop_
_symmetry_equiv_pos_as_xyz
'x,y,z'
'-x,-y,-z'
'-x,y,-z'
'x,-y,z'
'x+1/2,y+1/2,z'
'-x+1/2,-y+1/2,-z'
'-x+1/2,y+1/2,-z'
'x+1/2,-y+1/2,z'
loop_
_atom_site_label
_atom_site_fract_x
_atom_site_fract_y
_atom_site_fract_z
Y1 0.0000 0.0000 0.0000
Y2 0.1969 0.5000 0.3561
Y3 0.2064 0.5000 0.8531
Mg1 0.0000 0.5000 0.0000
Mo1 0.0000 0.2143 0.5000
O1 0.0021 0.5000 0.2991
O2 0.0190 0.0000 0.2989
O3 0.1401 0.2694 0.0597
O4 0.1727 0.2685 0.6000
```